1.
# KSi2F8
Theoretical powder diffraction line list, Cu Kα (λ = 1.5418 Å). Input: a cell relaxed with PBE.
No peak broadening, texture or thermal motion is included.

Main lines, by angle (10° ≤ 2θ ≤ 90°):
2theta, intensity
23.75, 100
25.43, 75
35.07, 39
40.70, 17
43.82, 17
48.60, 18
48.93, 12
52.23, 18

Atomic structure:
Cell lengths 4.763, 6.999, 7.008 Å; angles 60.05, 89.98, 89.99 degrees
Fractional coordinates of all 11 atoms:
K 0.000 0.000 0.000
Si 0.364 0.333 0.334
Si 0.636 0.667 0.666
F 0.254 0.203 0.585
F 0.254 0.585 0.211
F 0.255 0.212 0.203
F 0.298 0.667 0.667
F 0.702 0.333 0.333
F 0.745 0.788 0.797
F 0.746 0.415 0.789
F 0.746 0.797 0.415



2.
# K2YTlBr6
Theoretical powder diffraction line list, Cu Kα (λ = 1.5418 Å). Input: a cell relaxed with PBE.
No peak broadening, texture or thermal motion is included.

Main lines, by angle (10° ≤ 2θ ≤ 90°):
2theta, intensity
15.16, 97
21.08, 34
25.36, 100
30.60, 46
33.76, 77
37.96, 32
38.46, 49
44.69, 22

Atomic structure:
Cell lengths 8.442, 8.442, 8.442 Å; angles 57.40, 57.40, 57.40 degrees
Fractional coordinates of all 10 atoms:
K 0.000 0.000 0.000
K 0.489 0.489 0.489
Y 0.695 0.695 0.695
Tl 0.205 0.205 0.205
Br 0.036 0.457 0.808
Br 0.346 0.897 0.593
Br 0.457 0.808 0.036
Br 0.593 0.346 0.897
Br 0.808 0.036 0.457
Br 0.897 0.593 0.346



3.
# La5Pm3Y
Theoretical powder diffraction line list, Cu Kα (λ = 1.5418 Å). Input: a cell relaxed with PBE.
No peak broadening, texture or thermal motion is included.

Main lines, by angle (10° ≤ 2θ ≤ 90°):
2theta, intensity
27.78, 100
30.14, 94
31.09, 19
36.06, 20
41.34, 21
50.58, 21
54.93, 19
76.70, 13

Atomic structure:
Cell lengths 10.126, 10.126, 10.126 Å; angles 126.62, 126.62, 78.88 degrees
Fractional coordinates of all 18 atoms:
La 0.000 0.000 0.000
La 0.071 0.571 0.921
La 0.150 0.071 0.500
La 0.350 0.850 0.921
La 0.429 0.350 0.500
La 0.500 0.500 0.000
La 0.571 0.650 0.500
La 0.650 0.150 0.079
La 0.850 0.929 0.500
La 0.929 0.429 0.079
Pm 0.115 0.385 0.500
Pm 0.250 0.250 0.000
Pm 0.385 0.885 0.271
Pm 0.615 0.115 0.729
Pm 0.750 0.750 0.000
Pm 0.885 0.615 0.500
Y 0.250 0.750 0.500
Y 0.750 0.250 0.500



4.
# Pr7YIn4
Theoretical powder diffraction line list, Cu Kα (λ = 1.5418 Å). Input: a cell relaxed with PBE.
No peak broadening, texture or thermal motion is included.

Main lines, by angle (10° ≤ 2θ ≤ 90°):
2theta, intensity
27.63, 54
28.80, 50
29.44, 36
30.42, 100
32.27, 48
35.26, 26
35.43, 60
41.56, 38

Atomic structure:
Cell lengths 7.969, 7.969, 10.876 Å; angles 120.94, 120.94, 43.27 degrees
Fractional coordinates of all 12 atoms:
Pr 0.000 0.000 0.000
Pr 0.219 0.219 0.658
Pr 0.295 0.295 0.119
Pr 0.438 0.438 0.609
Pr 0.562 0.562 0.391
Pr 0.705 0.705 0.881
Pr 0.781 0.781 0.342
Y 0.500 0.500 0.000
In 0.057 0.057 0.754
In 0.181 0.181 0.333
In 0.819 0.819 0.667
In 0.943 0.943 0.246



5.
# Rb3SbBr6
Theoretical powder diffraction line list, Cu Kα (λ = 1.5418 Å). Input: a cell relaxed with PBE.
No peak broadening, texture or thermal motion is included.

Main lines, by angle (10° ≤ 2θ ≤ 90°):
2theta, intensity
21.24, 58
21.37, 54
25.24, 73
25.38, 79
30.05, 92
30.57, 51
33.71, 100
37.82, 72

Atomic structure:
Cell lengths 8.156, 8.694, 14.205 Å; angles 90.00, 124.57, 90.00 degrees
Fractional coordinates of all 20 atoms:
Rb 0.000 0.000 0.000
Rb 0.000 0.500 0.500
Rb 0.217 0.077 0.747
Rb 0.217 0.423 0.247
Rb 0.783 0.577 0.753
Rb 0.783 0.923 0.253
Sb 0.500 0.000 0.500
Sb 0.500 0.500 0.000
Br 0.163 0.176 0.444
Br 0.163 0.324 0.944
Br 0.265 0.727 0.428
Br 0.265 0.773 0.928
Br 0.401 0.050 0.276
Br 0.401 0.450 0.776
Br 0.599 0.550 0.224
Br 0.599 0.950 0.724
Br 0.735 0.227 0.072
Br 0.735 0.273 0.572
Br 0.837 0.676 0.056
Br 0.837 0.824 0.556



6.
# SrPaAl
Theoretical powder diffraction line list, Cu Kα (λ = 1.5418 Å). Input: a cell relaxed with PBE.
No peak broadening, texture or thermal motion is included.

Main lines, by angle (10° ≤ 2θ ≤ 90°):
2theta, intensity
22.53, 28
23.79, 100
32.08, 74
32.21, 62
44.81, 28
46.00, 28
52.44, 25
57.27, 24

Atomic structure:
Cell lengths 3.946, 3.946, 11.744 Å; angles 90.00, 90.00, 90.10 degrees
Fractional coordinates of all 6 atoms:
Sr 0.000 0.000 0.162
Sr 0.000 0.000 0.838
Pa 0.500 0.500 0.391
Pa 0.500 0.500 0.609
Al 0.000 0.000 0.500
Al 0.500 0.500 0.000



7.
# Li4Hg3
Theoretical powder diffraction line list, Cu Kα (λ = 1.5418 Å). Input: a cell relaxed with PBE.
No peak broadening, texture or thermal motion is included.

Main lines, by angle (10° ≤ 2θ ≤ 90°):
2theta, intensity
12.05, 33
22.36, 17
27.37, 100
38.57, 48
39.60, 43
47.94, 22
63.15, 20
64.59, 19

Atomic structure:
Cell lengths 7.822, 7.822, 7.822 Å; angles 34.72, 34.72, 34.72 degrees
Fractional coordinates of all 7 atoms:
Li 0.114 0.114 0.114
Li 0.370 0.370 0.370
Li 0.630 0.630 0.630
Li 0.886 0.886 0.886
Hg 0.246 0.246 0.246
Hg 0.500 0.500 0.500
Hg 0.754 0.754 0.754



8.
# K3CdH6
Theoretical powder diffraction line list, Cu Kα (λ = 1.5418 Å). Input: a cell relaxed with PBE.
No peak broadening, texture or thermal motion is included.

Main lines, by angle (10° ≤ 2θ ≤ 90°):
2theta, intensity
14.86, 27
18.38, 27
26.23, 55
27.62, 100
27.95, 48
33.96, 57
38.70, 40
42.56, 29

Atomic structure:
Cell lengths 7.118, 6.385, 8.809 Å; angles 90.00, 123.13, 90.00 degrees
Fractional coordinates of all 20 atoms:
K 0.000 0.000 0.000
K 0.000 0.500 0.500
K 0.263 0.003 0.749
K 0.263 0.497 0.249
K 0.737 0.503 0.751
K 0.737 0.997 0.251
Cd 0.500 0.000 0.500
Cd 0.500 0.500 0.000
H 0.157 0.175 0.398
H 0.157 0.325 0.898
H 0.381 0.736 0.050
H 0.381 0.764 0.550
H 0.396 0.599 0.772
H 0.396 0.901 0.272
H 0.604 0.099 0.728
H 0.604 0.401 0.228
H 0.619 0.236 0.450
H 0.619 0.264 0.950
H 0.843 0.675 0.102
H 0.843 0.825 0.602



9.
# Ti12In3Sb
Theoretical powder diffraction line list, Cu Kα (λ = 1.5418 Å). Input: a cell relaxed with PBE.
No peak broadening, texture or thermal motion is included.

Main lines, by angle (10° ≤ 2θ ≤ 90°):
2theta, intensity
24.03, 40
34.25, 46
38.44, 43
42.27, 100
66.85, 48
72.21, 8
82.39, 9
87.34, 12

Atomic structure:
Cell lengths 5.233, 5.234, 10.488 Å; angles 90.00, 90.00, 90.00 degrees
Fractional coordinates of all 16 atoms:
Ti 0.000 0.000 0.123
Ti 0.000 0.000 0.373
Ti 0.000 0.000 0.627
Ti 0.000 0.000 0.877
Ti 0.250 0.500 0.252
Ti 0.250 0.500 0.748
Ti 0.500 0.249 0.000
Ti 0.500 0.249 0.500
Ti 0.500 0.751 0.000
Ti 0.500 0.751 0.500
Ti 0.750 0.500 0.252
Ti 0.750 0.500 0.748
In 0.000 0.500 0.000
In 0.500 0.000 0.250
In 0.500 0.000 0.750
Sb 0.000 0.500 0.500



10.
# UFe2CoSi2
Theoretical powder diffraction line list, Cu Kα (λ = 1.5418 Å). Input: a cell relaxed with PBE.
No peak broadening, texture or thermal motion is included.

Main lines, by angle (10° ≤ 2θ ≤ 90°):
2theta, intensity
20.52, 53
27.52, 44
29.18, 100
34.58, 56
41.74, 67
42.47, 97
60.51, 22
61.07, 65

Atomic structure:
Cell lengths 4.328, 4.328, 4.889 Å; angles 90.00, 90.00, 90.00 degrees
Fractional coordinates of all 6 atoms:
U 0.000 0.000 0.000
Fe 0.500 0.500 0.237
Fe 0.500 0.500 0.763
Co 0.000 0.000 0.500
Si 0.000 0.500 0.500
Si 0.500 0.000 0.500